1.
The following is a computed PXRD pattern of Pm8Dy6Mg. It was derived from a cell relaxed with GGA-PBE, using copper Kα.
Intensities are scaled so that the largest is 100.

The 12 most intense peaks (10 to 90 degrees two-theta), low angle first:
2θ/deg, d/Å, Rel. int., hkl
25.89, 3.441, 13, 0 2 1
27.50, 3.243, 12, 0 0 2
29.10, 3.069, 31, 1 2 0
29.66, 3.012, 19, 0 1 2
32.27, 2.774, 100, 3 -1 1
33.10, 2.706, 9, 3 0 0
33.60, 2.667, 36, 1 1 2
51.01, 1.790, 12, 2 3 1
51.58, 1.772, 15, 4 1 0
51.72, 1.768, 9, 3 -2 3
60.39, 1.533, 9, 1 1 4
62.17, 1.493, 11, 2 4 1

Crystal structure
```
data_Pm8Dy6Mg
_chemical_formula_sum 'Pm8 Dy6 Mg1'
_cell_length_a 9.3755
_cell_length_b 9.3755
_cell_length_c 6.4867
_cell_angle_alpha 90.00
_cell_angle_beta 90.00
_cell_angle_gamma 120.00
_space_group_name_H-M_alt 'P -3'
_space_group_IT_number 147
_space_group_name_Hall '-P 3'
loop_
_atom_site_label
_atom_site_type_symbol
_atom_site_fract_x
_atom_site_fract_y
_atom_site_fract_z
_atom_site_occupancy
Pm1 Pm 0.0380 0.7637 0.1769 1
Pm2 Pm 0.3333 0.6667 0.1406 1
Dy1 Dy 0.0944 0.6490 0.6667 1
Mg1 Mg 0.0000 0.0000 0.5000 1
```

***

2.
The following is a computed PXRD pattern of Pm2Sm2DyMg. It was derived from a cell relaxed with GGA-PBE, using copper Kα.
Intensities are scaled so that the largest is 100.

The 12 most intense peaks (10 to 90 degrees two-theta), low angle first:
2θ/deg, d/Å, Rel. int., hkl
25.78, 3.456, 22, 2 0 0
30.99, 2.886, 100, 0 3 1
31.22, 2.865, 31, 2 2 0
31.98, 2.799, 77, 2 1 1
33.24, 2.696, 42, 0 0 2
40.73, 2.215, 25, 2 3 1
43.99, 2.058, 20, 2 4 0
46.24, 1.963, 22, 2 2 2
56.23, 1.636, 20, 2 4 2
57.99, 1.590, 18, 0 3 3
58.59, 1.575, 14, 2 1 3
62.66, 1.483, 26, 4 3 1

Crystal structure
```
data_Pm2Sm2DyMg
_chemical_formula_sum 'Pm4 Sm4 Dy2 Mg2'
_cell_length_a 6.9122
_cell_length_b 10.2493
_cell_length_c 5.3910
_cell_angle_alpha 90.00
_cell_angle_beta 90.00
_cell_angle_gamma 90.00
_space_group_name_H-M_alt 'P n n m'
_space_group_IT_number 58
_space_group_name_Hall '-P 2 2n'
loop_
_atom_site_label
_atom_site_type_symbol
_atom_site_fract_x
_atom_site_fract_y
_atom_site_fract_z
_atom_site_occupancy
Pm1 Pm 0.2424 0.1614 0.0000 1
Sm1 Sm 0.2413 0.8414 0.0000 1
Dy1 Dy 0.0000 0.5000 0.0000 1
Mg1 Mg 0.0000 0.0000 0.5000 1
```

***

3.
The following is a computed PXRD pattern of PmSm2Dy6Mg. It was derived from a cell relaxed with GGA-PBE, using copper Kα.
Intensities are scaled so that the largest is 100.

The 12 most intense peaks (10 to 90 degrees two-theta), low angle first:
2θ/deg, d/Å, Rel. int., hkl
27.58, 3.234, 23, 3 1 0
28.78, 3.102, 36, 1 5 1
30.59, 2.923, 16, 1 3 -2
31.62, 2.829, 93, 3 3 -1
32.76, 2.734, 49, 3 1 1
32.94, 2.719, 100, 0 4 2
33.38, 2.685, 32, 1 7 0
42.59, 2.123, 15, 3 5 -2
46.29, 1.961, 22, 3 1 -3
56.02, 1.642, 21, 3 3 3
56.44, 1.630, 19, 2 10 -2
63.70, 1.461, 21, 2 6 -4

Crystal structure
```
data_PmSm2Dy6Mg
_chemical_formula_sum 'Pm4 Sm8 Dy24 Mg4'
_cell_length_a 9.9690
_cell_length_b 19.5330
_cell_length_c 6.6411
_cell_angle_alpha 90.00
_cell_angle_beta 99.24
_cell_angle_gamma 90.00
_space_group_name_H-M_alt 'C 1 2/c 1'
_space_group_IT_number 15
_space_group_name_Hall '-C 2yc'
loop_
_atom_site_label
_atom_site_type_symbol
_atom_site_fract_x
_atom_site_fract_y
_atom_site_fract_z
_atom_site_occupancy
Pm1 Pm 0.0000 0.0081 0.2500 1
Sm1 Sm 0.2334 0.4176 0.9989 1
Dy1 Dy 0.0608 0.1466 0.5305 1
Dy2 Dy 0.1129 0.4118 0.4822 1
Dy3 Dy 0.1748 0.2604 0.2210 1
Mg1 Mg 0.0000 0.2924 0.7500 1
```

***

4.
The following is a computed PXRD pattern of Tb2PmDy2Mg. It was derived from a cell relaxed with GGA-PBE, using copper Kα.
Intensities are scaled so that the largest is 100.

The 12 most intense peaks (10 to 90 degrees two-theta), low angle first:
2θ/deg, d/Å, Rel. int., hkl
28.73, 3.107, 47, 0 0 6
28.90, 3.089, 94, 0 1 5
29.22, 3.056, 66, 1 1 0
30.79, 2.904, 97, 1 1 2
32.46, 2.758, 77, 0 2 0
35.12, 2.556, 100, 1 1 4
41.91, 2.156, 29, 1 0 7
43.89, 2.063, 30, 0 2 6
53.99, 1.698, 27, 1 2 7
56.84, 1.620, 44, 0 1 11
58.47, 1.579, 39, 2 1 5
60.60, 1.528, 26, 2 2 0

Crystal structure
```
data_Tb2PmDy2Mg
_chemical_formula_sum 'Tb4 Pm2 Dy4 Mg2'
_cell_length_a 3.6704
_cell_length_b 5.5170
_cell_length_c 18.6421
_cell_angle_alpha 90.00
_cell_angle_beta 90.00
_cell_angle_gamma 90.00
_space_group_name_H-M_alt 'I m m m'
_space_group_IT_number 71
_space_group_name_Hall '-I 2 2'
loop_
_atom_site_label
_atom_site_type_symbol
_atom_site_fract_x
_atom_site_fract_y
_atom_site_fract_z
_atom_site_occupancy
Tb1 Tb 0.0000 0.0000 0.1839 1
Pm1 Pm 0.0000 0.5000 0.5000 1
Dy1 Dy 0.0000 0.0000 0.3652 1
Mg1 Mg 0.0000 0.5000 0.0000 1
```